(1)
Diffraction record for DyZrSc14. The powder diffraction line list is calculated, not measured: it uses a DFT-relaxed cell (PBE, Alexandria) and Cu Ka.

Top 12 peaks for 2θ from 10° to 80°, low angle first:
2θ = 19.13°, rel. 68; 2θ = 21.47°, rel. 104; 2θ = 27.36°, rel. 57; 2θ = 28.91°, rel. 49; 2θ = 33.60°, rel. 1000; 2θ = 38.82°, rel. 328; 2θ = 39.33°, rel. 158; 2θ = 56.07°, rel. 104; 2θ = 56.46°, rel. 203; 2θ = 66.98°, rel. 233; 2θ = 67.68°, rel. 113; 2θ = 70.63°, rel. 99

Atomic structure:
```
16
Lattice="4.637 -4.641 0.000 4.637 4.641 0.000 0.000 0.000 9.163" Properties=species:S:1:pos:R:3 pbc="T T T"
Dy 0.000 0.000 0.000
Zr 4.637 0.000 0.000
Sc 0.000 0.000 4.581
Sc 2.319 2.321 0.000
Sc 2.319 2.321 4.581
Sc 2.368 0.000 2.281
Sc 2.368 0.000 6.882
Sc 4.637 2.270 2.278
Sc 4.637 2.270 6.884
Sc 2.319 -2.321 0.000
Sc 2.319 -2.321 4.581
Sc 4.637 0.000 4.581
Sc 4.637 -2.270 2.278
Sc 4.637 -2.270 6.884
Sc 6.907 0.000 2.281
Sc 6.907 0.000 6.882
```

=====

(2)
Diffraction record for Dy2ZrSc4. The powder diffraction line list is calculated, not measured: it uses a DFT-relaxed cell (PBE, Alexandria) and Cu Ka.

Top 12 peaks for 2θ from 10° to 80°, low angle first:
2θ = 14.31°, rel. 518; 2θ = 19.12°, rel. 238; 2θ = 30.68°, rel. 746; 2θ = 33.79°, rel. 430; 2θ = 34.70°, rel. 1000; 2θ = 35.50°, rel. 971; 2θ = 44.99°, rel. 246; 2θ = 47.54°, rel. 215; 2θ = 54.46°, rel. 338; 2θ = 60.50°, rel. 169; 2θ = 62.08°, rel. 166; 2θ = 65.64°, rel. 355

Atomic structure:
```
7
Lattice="2.918 -1.685 0.000 2.918 1.685 0.000 -1.939 0.000 18.571" Properties=species:S:1:pos:R:3 pbc="T T T"
Dy 0.000 0.000 0.000
Dy 0.002 0.000 5.471
Zr -0.001 0.000 10.761
Sc 0.001 0.000 15.833
Sc 1.948 0.000 2.753
Sc 3.891 0.000 8.286
Sc 3.889 0.000 13.265
```

=====

(3)
Diffraction record for Dy2ZrSc6. The powder diffraction line list is calculated, not measured: it uses a DFT-relaxed cell (PBE, Alexandria) and Cu Ka.

Top 12 peaks for 2θ from 10° to 80°, low angle first:
2θ = 19.63°, rel. 498; 2θ = 34.08°, rel. 1000; 2θ = 34.34°, rel. 757; 2θ = 39.86°, rel. 86; 2θ = 49.16°, rel. 346; 2θ = 53.60°, rel. 77; 2θ = 61.32°, rel. 290; 2θ = 61.44°, rel. 101; 2θ = 61.50°, rel. 86; 2θ = 68.18°, rel. 95; 2θ = 68.27°, rel. 95; 2θ = 72.37°, rel. 78

Atomic structure:
```
9
Lattice="7.834 -4.524 0.000 7.834 4.524 0.000 -0.007 0.000 3.233" Properties=species:S:1:pos:R:3 pbc="T T T"
Dy 2.606 0.000 3.233
Dy 13.055 0.000 0.001
Zr 7.834 0.000 0.000
Sc 5.282 1.471 1.616
Sc 7.830 2.944 1.617
Sc 5.282 -1.471 1.616
Sc 10.379 1.471 1.618
Sc 7.830 -2.944 1.617
Sc 10.379 -1.471 1.618
```

=====

(4)
Diffraction record for DyZr2Sc12. The powder diffraction line list is calculated, not measured: it uses a DFT-relaxed cell (PBE, Alexandria) and Cu Ka.

Top 12 peaks for 2θ from 10° to 80°, low angle first:
2θ = 17.59°, rel. 515; 2θ = 24.97°, rel. 373; 2θ = 28.84°, rel. 1000; 2θ = 30.30°, rel. 334; 2θ = 33.64°, rel. 287; 2θ = 33.98°, rel. 712; 2θ = 35.61°, rel. 899; 2θ = 36.08°, rel. 300; 2θ = 38.21°, rel. 399; 2θ = 40.41°, rel. 339; 2θ = 46.45°, rel. 659; 2θ = 62.79°, rel. 298

Atomic structure:
```
30
Lattice="7.132 0.000 0.000 0.000 7.132 0.000 0.000 0.000 15.689" Properties=species:S:1:pos:R:3 pbc="T T T"
Dy 1.783 5.349 0.000
Dy 5.349 1.783 0.000
Zr 1.783 5.349 3.732
Zr 1.783 5.349 11.958
Zr 5.349 1.783 3.732
Zr 5.349 1.783 11.958
Sc 0.011 3.576 1.639
Sc 0.011 7.121 14.051
Sc 0.716 4.282 6.668
Sc 0.716 6.415 9.021
Sc 1.783 1.783 2.654
Sc 1.783 1.783 5.237
Sc 1.783 1.783 10.452
Sc 1.783 1.783 13.035
Sc 2.849 4.282 9.021
Sc 2.849 6.415 6.668
Sc 3.555 3.576 14.051
Sc 3.555 7.121 1.639
Sc 3.576 0.011 14.051
Sc 3.576 3.555 1.639
Sc 4.282 0.716 9.021
Sc 4.282 2.849 6.668
Sc 5.349 5.349 2.654
Sc 5.349 5.349 5.237
Sc 5.349 5.349 10.452
Sc 5.349 5.349 13.035
Sc 6.415 0.716 6.668
Sc 6.415 2.849 9.021
Sc 7.121 0.011 1.639
Sc 7.121 3.555 14.051
```